Starting from the PBE geometry in the Materials Project, the X-ray powder pattern of CsBe2BO3F2 was computed for Cu Kα X-rays.
No peak broadening, texture or thermal motion is included.

Cell and atoms:
```
data_CsBe2BO3F2
_chemical_formula_sum 'Cs3 Be6 B3 O9 F6'
_symmetry_space_group_name_H-M 'R 3 2'
_symmetry_Int_Tables_number 155
_symmetry_space_group_name_Hall 'R 3 2"'
_cell_length_a 4.4825
_cell_length_b 4.4825
_cell_length_c 22.1155
_cell_angle_alpha 90.00
_cell_angle_beta 90.00
_cell_angle_gamma 120.00
loop_
_atom_site_label
_atom_site_type_symbol
_atom_site_fract_x
_atom_site_fract_y
_atom_site_fract_z
_atom_site_occupancy
Cs1 Cs 0.0000 0.0000 0.0000 1
Be1 Be 0.0000 0.0000 0.1919 1
B1 B 0.0000 0.0000 0.5000 1
O1 O 0.0000 0.6913 0.5000 1
F1 F 0.0000 0.0000 0.2624 1
```

The 8 most intense peaks (10° ≤ 2θ ≤ 90°), low angle first:
- 23.26 deg, I 65, (1 0 1)
- 24.15 deg, I 39, (0 0 6)
- 24.30 deg, I 36, (0 1 2)
- 28.09 deg, I 100, (1 0 4)
- 30.64 deg, I 30, (0 1 5)
- 40.04 deg, I 29, (0 1 8)
- 40.24 deg, I 32, (1 1 0)
- 42.14 deg, I 43, (1 1 3)